1.
This entry pairs a crystal structure of La6Zn2N with its theoretical XRD peak list. Radiation: Cu Kα X-rays. Structure: the GGA-PBE geometry in Alexandria.

Peak list (10 most intense, 2θ = 10–80°, by angle)
d 3.133, I 23; d 3.120, I 35; d 3.104, I 28; d 3.054, I 31; d 3.040, I 100; d 2.935, I 66; d 2.769, I 51; d 2.651, I 54; d 2.320, I 24; d 1.737, I 23

Atomic structure:
Cell lengths 6.702, 7.423, 12.516 Å; angles 90.00, 122.09, 90.00 degrees
Atoms (fractional coordinates):
La 0.134 0.205 0.456
La 0.134 0.295 0.956
La 0.270 0.679 0.456
La 0.270 0.821 0.956
La 0.344 0.022 0.235
La 0.344 0.478 0.735
La 0.656 0.522 0.265
La 0.656 0.978 0.765
La 0.730 0.179 0.044
La 0.730 0.321 0.544
La 0.866 0.705 0.044
La 0.866 0.795 0.544
Zn 0.178 0.087 0.744
Zn 0.178 0.413 0.244
Zn 0.822 0.587 0.756
Zn 0.822 0.913 0.256
N 0.000 0.000 0.000
N 0.000 0.500 0.500

2.
This entry pairs a crystal structure of La8ZnN4 with its theoretical XRD peak list. Radiation: Cu Kα X-rays. Structure: the GGA-PBE geometry in Alexandria.

Peak list (10 most intense, 2θ = 10–80°, by angle)
d 6.414, I 16; d 3.207, I 100; d 2.778, I 52; d 2.549, I 15; d 2.138, I 29; d 1.964, I 42; d 1.675, I 30; d 1.556, I 14; d 1.446, I 12; d 1.357, I 10

Atomic structure:
Cell lengths 7.856, 7.856, 7.856 Å; angles 60.00, 60.00, 60.00 degrees
Atoms (fractional coordinates):
La 0.080 0.640 0.640
La 0.105 0.105 0.105
La 0.105 0.105 0.685
La 0.105 0.685 0.105
La 0.640 0.080 0.640
La 0.640 0.640 0.080
La 0.640 0.640 0.640
La 0.685 0.105 0.105
Zn 0.250 0.250 0.250
N 0.385 0.872 0.872
N 0.872 0.385 0.872
N 0.872 0.872 0.385
N 0.872 0.872 0.872

3.
This entry pairs a crystal structure of La3ZrN4 with its theoretical XRD peak list. Radiation: Cu Kα X-rays. Structure: the GGA-PBE geometry in Alexandria.

Peak list (10 most intense, 2θ = 10–80°, by angle)
d 5.207, I 4; d 3.682, I 4; d 3.006, I 100; d 2.603, I 76; d 2.329, I 3; d 2.126, I 3; d 1.841, I 51; d 1.570, I 45; d 1.503, I 16; d 1.302, I 7

Atomic structure:
Cell lengths 5.207, 5.207, 5.207 Å; angles 89.97, 89.97, 89.97 degrees
Atoms (fractional coordinates):
La 0.167 0.167 0.666
La 0.167 0.666 0.167
La 0.666 0.167 0.167
Zr 0.634 0.634 0.634
N 0.154 0.154 0.154
N 0.234 0.668 0.668
N 0.668 0.234 0.668
N 0.668 0.668 0.234

4.
This entry pairs a crystal structure of LaZr3N4 with its theoretical XRD peak list. Radiation: Cu Kα X-rays. Structure: the GGA-PBE geometry in Alexandria.

Peak list (10 most intense, 2θ = 10–80°, by angle)
d 2.801, I 47; d 2.792, I 35; d 2.690, I 100; d 2.564, I 19; d 2.425, I 75; d 2.282, I 59; d 1.664, I 86; d 1.431, I 42; d 1.415, I 14; d 1.400, I 16

Atomic structure:
Cell lengths 3.329, 3.329, 22.411 Å; angles 90.00, 90.00, 120.00 degrees
Atoms (fractional coordinates):
La 0.333 0.667 0.250
La 0.667 0.333 0.750
Zr 0.000 0.000 0.000
Zr 0.000 0.000 0.500
Zr 0.333 0.667 0.618
Zr 0.333 0.667 0.882
Zr 0.667 0.333 0.118
Zr 0.667 0.333 0.382
N 0.000 0.000 0.173
N 0.000 0.000 0.327
N 0.000 0.000 0.673
N 0.000 0.000 0.827
N 0.333 0.667 0.058
N 0.333 0.667 0.442
N 0.667 0.333 0.558
N 0.667 0.333 0.942

5.
This entry pairs a crystal structure of LaZr2N4 with its theoretical XRD peak list. Radiation: Cu Kα X-rays. Structure: the GGA-PBE geometry in Alexandria.

Peak list (10 most intense, 2θ = 10–80°, by angle)
d 3.377, I 42; d 2.880, I 100; d 2.757, I 15; d 1.950, I 17; d 1.838, I 40; d 1.688, I 37; d 1.457, I 13; d 1.440, I 8; d 1.276, I 9; d 1.243, I 21

Atomic structure:
Cell lengths 6.753, 6.753, 6.753 Å; angles 119.96, 119.96, 90.06 degrees
Atoms (fractional coordinates):
La 0.375 0.625 0.750
La 0.625 0.375 0.250
Zr 0.000 0.000 0.000
Zr 0.000 0.000 0.500
Zr 0.000 0.500 0.000
Zr 0.500 0.000 0.500
N 0.198 0.233 0.965
N 0.232 0.767 0.465
N 0.233 0.198 0.465
N 0.233 0.768 0.035
N 0.767 0.232 0.965
N 0.767 0.802 0.535
N 0.768 0.233 0.535
N 0.802 0.767 0.035

6.
This entry pairs a crystal structure of NaLaNb2O7 with its theoretical XRD peak list. Radiation: Cu Kα X-rays. Structure: the GGA-PBE geometry in Alexandria.

Peak list (10 most intense, 2θ = 10–80°, by angle)
d 3.455, I 100; d 2.910, I 90; d 2.785, I 43; d 2.698, I 39; d 1.969, I 40; d 1.938, I 31; d 1.711, I 25; d 1.707, I 28; d 1.631, I 34; d 1.530, I 21

Atomic structure:
Cell lengths 11.153, 11.153, 11.153 Å; angles 159.66, 159.66, 28.92 degrees
Atoms (fractional coordinates):
Na 0.000 0.000 0.000
La 0.250 0.750 0.500
Nb 0.644 0.144 0.500
Nb 0.856 0.356 0.500
O 0.164 0.164 0.000
O 0.335 0.335 0.000
O 0.560 0.060 0.500
O 0.665 0.665 0.000
O 0.750 0.250 0.500
O 0.836 0.836 0.000
O 0.940 0.440 0.500

7.
This entry pairs a crystal structure of NaLaNb4O12 with its theoretical XRD peak list. Radiation: Cu Kα X-rays. Structure: the GGA-PBE geometry in Alexandria.

Peak list (10 most intense, 2θ = 10–80°, by angle)
d 8.037, I 35; d 5.309, I 29; d 4.018, I 23; d 3.978, I 48; d 3.565, I 27; d 2.827, I 100; d 2.813, I 50; d 1.989, I 42; d 1.627, I 39; d 1.413, I 24

Atomic structure:
Cell lengths 8.967, 8.967, 8.967 Å; angles 143.44, 143.44, 52.66 degrees
Atoms (fractional coordinates):
Na 0.000 0.000 0.000
La 0.500 0.500 0.000
Nb 0.129 0.629 0.500
Nb 0.371 0.871 0.500
Nb 0.629 0.129 0.500
Nb 0.871 0.371 0.500
O 0.000 0.500 0.500
O 0.142 0.142 0.513
O 0.142 0.629 0.000
O 0.250 0.750 0.500
O 0.371 0.371 0.513
O 0.371 0.858 0.000
O 0.500 0.000 0.500
O 0.629 0.142 0.000
O 0.629 0.629 0.487
O 0.750 0.250 0.500
O 0.858 0.371 0.000
O 0.858 0.858 0.487

8.
This entry pairs a crystal structure of Na3LaTi2Nb2O12 with its theoretical XRD peak list. Radiation: Cu Kα X-rays. Structure: the GGA-PBE geometry in Alexandria.

Peak list (10 most intense, 2θ = 10–80°, by angle)
d 7.860, I 34; d 5.598, I 38; d 4.560, I 74; d 2.817, I 90; d 2.799, I 100; d 2.762, I 92; d 2.020, I 37; d 1.965, I 38; d 1.941, I 35; d 1.630, I 43

Atomic structure:
Cell lengths 5.603, 5.603, 7.860 Å; angles 90.11, 90.11, 92.29 degrees
Atoms (fractional coordinates):
Na 0.000 0.000 0.000
Na 0.462 0.538 0.500
Na 0.991 0.009 0.500
La 0.484 0.516 0.000
Ti 0.487 0.021 0.752
Ti 0.979 0.513 0.248
Nb 0.483 0.025 0.260
Nb 0.975 0.517 0.740
O 0.170 0.254 0.757
O 0.173 0.262 0.241
O 0.248 0.750 0.211
O 0.250 0.752 0.789
O 0.430 0.003 0.504
O 0.481 0.083 0.998
O 0.659 0.335 0.727
O 0.665 0.341 0.273
O 0.738 0.827 0.759
O 0.746 0.830 0.243
O 0.917 0.519 0.002
O 0.997 0.570 0.496

9.
This entry pairs a crystal structure of Na3LaTi2Nb2O12 with its theoretical XRD peak list. Radiation: Cu Kα X-rays. Structure: the GGA-PBE geometry in Alexandria.

Peak list (10 most intense, 2θ = 10–80°, by angle)
d 5.546, I 62; d 3.206, I 17; d 2.776, I 100; d 2.767, I 52; d 1.970, I 21; d 1.961, I 20; d 1.951, I 19; d 1.605, I 22; d 1.601, I 21; d 1.597, I 23

Atomic structure:
Cell lengths 7.806, 7.844, 11.085 Å; angles 90.00, 134.70, 90.00 degrees
Atoms (fractional coordinates):
Na 0.000 0.235 0.250
Na 0.000 0.765 0.750
Na 0.500 0.248 0.750
Na 0.500 0.249 0.250
Na 0.500 0.751 0.750
Na 0.500 0.752 0.250
La 0.000 0.265 0.750
La 0.000 0.735 0.250
Ti 0.000 0.500 0.000
Ti 0.000 0.500 0.500
Ti 0.500 0.000 0.000
Ti 0.500 0.000 0.500
Nb 0.000 0.000 0.000
Nb 0.000 0.000 0.500
Nb 0.500 0.500 0.000
Nb 0.500 0.500 0.500
O 0.061 0.253 0.016
O 0.061 0.747 0.516
O 0.201 0.471 0.454
O 0.201 0.529 0.954
O 0.217 0.022 0.753
O 0.217 0.978 0.253
O 0.276 0.039 0.523
O 0.276 0.961 0.023
O 0.278 0.466 0.748
O 0.278 0.534 0.248
O 0.471 0.248 0.016
O 0.471 0.752 0.516
O 0.529 0.248 0.484
O 0.529 0.752 0.984
O 0.722 0.466 0.752
O 0.722 0.534 0.252
O 0.724 0.039 0.977
O 0.724 0.961 0.477
O 0.783 0.022 0.747
O 0.783 0.978 0.247
O 0.799 0.471 0.046
O 0.799 0.529 0.546
O 0.939 0.253 0.484
O 0.939 0.747 0.984

10.
This entry pairs a crystal structure of Na4La3NdS8 with its theoretical XRD peak list. Radiation: Cu Kα X-rays. Structure: the GGA-PBE geometry in Alexandria.

Peak list (10 most intense, 2θ = 10–80°, by angle)
d 6.659, I 65; d 3.585, I 39; d 3.423, I 25; d 2.944, I 100; d 2.692, I 16; d 2.104, I 37; d 2.060, I 34; d 2.006, I 18; d 1.712, I 19; d 1.328, I 18

Atomic structure:
Cell lengths 8.243, 8.243, 8.243 Å; angles 61.39, 61.39, 61.39 degrees
Atoms (fractional coordinates):
Na 0.000 0.000 0.000
Na 0.000 0.500 0.500
Na 0.500 0.000 0.500
Na 0.500 0.500 0.000
La 0.000 0.000 0.500
La 0.000 0.500 0.000
La 0.500 0.000 0.000
Nd 0.500 0.500 0.500
S 0.245 0.245 0.245
S 0.248 0.743 0.743
S 0.257 0.257 0.752
S 0.257 0.752 0.257
S 0.743 0.248 0.743
S 0.743 0.743 0.248
S 0.752 0.257 0.257
S 0.755 0.755 0.755

11.
This entry pairs a crystal structure of NaLaNi with its theoretical XRD peak list. Radiation: Cu Kα X-rays. Structure: the GGA-PBE geometry in Alexandria.

Peak list (10 most intense, 2θ = 10–80°, by angle)
d 3.519, I 32; d 3.408, I 32; d 2.787, I 100; d 2.454, I 66; d 2.162, I 20; d 2.032, I 42; d 2.010, I 30; d 1.642, I 20; d 1.309, I 20; d 1.277, I 22

Atomic structure:
Cell lengths 4.064, 4.064, 13.699 Å; angles 90.02, 90.02, 59.98 degrees
Atoms (fractional coordinates):
Na 0.166 0.166 0.118
Na 0.834 0.834 0.882
La 0.503 0.496 0.364
La 0.504 0.497 0.636
Ni 0.170 0.162 0.500
Ni 0.838 0.830 0.500